1.
La2MgTiZnO6: computed powder X-ray diffraction pattern (Cu Kα (λ = 1.5418 Å)), based on a cell relaxed with PBE.

Cell and atoms:
Cell lengths 5.8808, 5.8808, 16.6396 Å; angles 90.00, 90.00, 120.00 degrees
Space group R3 (No. 146, hexagonal axes)
Symmetry-distinct sites (fractional):
1 La 0.0000 0.0000 0.0000
2 La 0.0000 0.0000 0.4025
3 Mg 0.0000 0.0000 0.6326
4 Ti 0.0000 0.0000 0.8038
5 Zn 0.0000 0.0000 0.2124
6 O 0.0296 0.3998 0.9617
7 O 0.0590 0.7159 0.7907

Principal peaks in the range 10° ≤ 2θ ≤ 90°, by angle:
h k l  2θ/deg  intensity
0 0 3  15.98  23
1 0 1  18.22  25
0 1 2  20.45  24
1 1 0  30.40  100
0 1 5  32.13  98
1 1 3  34.52  25
2 0 5  44.82  42
3 0 0  54.02  31
3 -2 5  55.12  45
3 1 5  72.73  18


2.
KHfMg14: computed powder X-ray diffraction pattern (Cu Kα (λ = 1.5418 Å)), based on a cell relaxed with PBE.

Cell and atoms:
Cell lengths 6.5941, 6.5941, 10.2914 Å; angles 90.00, 90.00, 120.00 degrees
Space group P-6m2 (No. 187)
Symmetry-distinct sites (fractional):
1 K 0.0000 0.0000 0.0000
2 Hf 0.0000 0.0000 0.5000
3 Mg 0.0024 0.5012 0.5000
4 Mg 0.0071 0.5035 0.0000
5 Mg 0.1687 0.3373 0.2614
6 Mg 0.6667 0.3333 0.2488

Principal peaks in the range 10° ≤ 2θ ≤ 90°, by angle:
h k l  2θ/deg  intensity
1 0 0  15.52  40
1 0 1  17.76  40
1 0 2  23.27  34
2 0 0  31.33  30
0 0 4  34.87  23
2 0 2  35.97  100
2 0 4  47.57  18
2 2 0  55.76  18
2 0 6  63.24  18
2 2 4  67.48  19


3.
Zn4AgN3: computed powder X-ray diffraction pattern (Cu Kα (λ = 1.5418 Å)), based on a cell relaxed with PBE.

Cell and atoms:
Cell lengths 6.703, 6.791, 11.301 Å; angles 87.89, 83.35, 63.33 degrees
Space group P1 (No. 1)
Symmetry-distinct sites (fractional):
1 Zn 0.000 0.000 0.000
2 Zn 0.001 0.397 0.430
3 Zn 0.061 0.390 0.957
4 Zn 0.204 0.402 0.706
5 Zn 0.240 0.848 0.568
6 Zn 0.307 0.334 0.190
7 Zn 0.315 0.745 0.196
8 Zn 0.464 0.455 0.387
9 Zn 0.471 0.011 0.801
10 Zn 0.491 0.942 0.378
11 Zn 0.581 0.342 0.957
12 Zn 0.786 0.740 0.585
13 Zn 0.829 0.283 0.201
14 Zn 0.895 0.714 0.211
15 Zn 0.923 0.207 0.713
16 Zn 0.966 0.951 0.384
17 Ag 0.449 0.589 0.763
18 Ag 0.618 0.214 0.572
19 Ag 0.619 0.722 0.997
20 Ag 0.909 0.797 0.828
21 N 0.007 0.938 0.162
22 N 0.016 0.429 0.128
23 N 0.303 0.779 0.388
24 N 0.326 0.257 0.358
25 N 0.358 0.327 0.853
26 N 0.467 0.853 0.663
27 N 0.530 0.452 0.124
28 N 0.796 0.276 0.384
29 N 0.813 0.753 0.390
30 N 0.908 0.228 0.887
31 N 0.927 0.934 0.645
32 N 0.994 0.415 0.609

Principal peaks in the range 10° ≤ 2θ ≤ 90°, by angle:
h k l  2θ/deg  intensity
0 2 0  29.44  40
1 2 2  30.22  46
1 2 -2  31.46  45
2 2 2  33.89  79
0 1 -4  34.98  52
2 0 -2  35.68  100
2 0 3  36.42  67
2 2 -2  36.56  51
0 2 -3  37.85  37
0 0 5  40.17  71


4.
BaH2CSNClO: computed powder X-ray diffraction pattern (Cu Kα (λ = 1.5418 Å)), based on a cell relaxed with PBE.

Cell and atoms:
Cell lengths 5.918, 4.820, 20.418 Å; angles 90.00, 90.00, 90.00 degrees
Space group Pnma (No. 62)
Symmetry-distinct sites (fractional):
1 Ba 0.238 0.250 0.083
2 H 0.112 0.088 0.243
3 C 0.195 0.250 0.856
4 S 0.042 0.750 0.331
5 N 0.003 0.250 0.872
6 Cl 0.238 0.250 0.479
7 O 0.146 0.250 0.216

Principal peaks in the range 10° ≤ 2θ ≤ 90°, by angle:
h k l  2θ/deg  intensity
1 0 2  17.33  100
0 1 3  22.60  75
1 0 4  23.01  52
1 1 1  24.21  79
0 1 5  28.65  72
1 1 5  32.48  71
0 2 0  37.31  43
2 1 3  38.06  61
1 0 8  38.40  47
1 1 7  39.18  50


5.
Cs3ErCl6: computed powder X-ray diffraction pattern (Cu Kα (λ = 1.5418 Å)), based on a cell relaxed with PBE.

Cell and atoms:
Cell lengths 26.963, 8.455, 13.225 Å; angles 90.00, 99.72, 90.00 degrees
Space group C2/c (No. 15)
Symmetry-distinct sites (fractional):
1 Cs 0.050 0.246 0.432
2 Cs 0.154 0.187 0.145
3 Cs 0.162 0.313 0.800
4 Er 0.000 0.283 0.750
5 Er 0.250 0.250 0.500
6 Cl 0.055 0.063 0.683
7 Cl 0.055 0.485 0.195
8 Cl 0.056 0.276 0.930
9 Cl 0.176 0.060 0.421
10 Cl 0.180 0.448 0.534
11 Cl 0.250 0.116 0.680

Principal peaks in the range 10° ≤ 2θ ≤ 90°, by angle:
h k l  2θ/deg  intensity
0 2 0  21.01  38
5 1 1  21.80  69
6 0 -2  22.28  29
1 1 -3  22.75  100
6 2 -1  29.21  23
6 2 -2  30.81  65
4 0 4  32.58  21
10 0 0  33.75  24
7 1 -5  39.95  21
2 2 -6  46.47  25


6.
TiCr2Te4: computed powder X-ray diffraction pattern (Cu Kα (λ = 1.5418 Å)), based on a cell relaxed with PBE.

Cell and atoms:
Cell lengths 14.287, 3.959, 7.078 Å; angles 90.00, 118.97, 90.00 degrees
Space group C2/m (No. 12)
Symmetry-distinct sites (fractional):
1 Ti 0.000 0.000 0.000
2 Cr 0.241 0.500 0.724
3 Te 0.122 0.000 0.449
4 Te 0.134 0.500 0.969

Principal peaks in the range 10° ≤ 2θ ≤ 90°, by angle:
h k l  2θ/deg  intensity
4 0 0  28.56  26
0 0 2  28.83  32
4 0 -2  29.16  50
1 1 1  29.46  100
3 1 -1  29.62  62
6 0 -2  38.71  57
5 1 -1  38.98  26
3 1 -3  44.71  56
0 2 0  45.84  27
7 1 -1  51.35  23


7.
Tm6Ga17Pt5: computed powder X-ray diffraction pattern (Cu Kα (λ = 1.5418 Å)), based on a cell relaxed with PBE.

Cell and atoms:
Cell lengths 15.673, 4.240, 15.701 Å; angles 90.00, 102.23, 90.00 degrees
Space group C2/m (No. 12)
Symmetry-distinct sites (fractional):
1 Tm 0.089 0.000 0.409
2 Tm 0.098 0.500 0.905
3 Tm 0.250 0.000 0.253
4 Ga 0.000 0.000 0.000
5 Ga 0.040 0.000 0.177
6 Ga 0.043 0.500 0.675
7 Ga 0.104 0.500 0.265
8 Ga 0.107 0.000 0.768
9 Ga 0.175 0.500 0.543
10 Ga 0.178 0.000 0.040
11 Ga 0.230 0.500 0.396
12 Ga 0.238 0.000 0.892
13 Pt 0.000 0.500 0.500
14 Pt 0.095 0.500 0.097
15 Pt 0.105 0.000 0.604

Principal peaks in the range 10° ≤ 2θ ≤ 90°, by angle:
h k l  2θ/deg  intensity
2 0 -2  14.51  14
3 1 1  28.73  13
0 0 6  35.12  21
1 1 -5  35.60  100
5 1 1  37.66  26
0 2 0  42.67  39
6 0 -6  44.52  18
1 1 -7  45.89  13
4 0 6  46.71  13
6 2 -6  63.35  12